For Sr2LaSbO6, DFT lattice parameters and positions (GGA-PBE) gives the computed PXRD pattern in this record (copper Kα).

```
10
Lattice="0.000 4.321 4.321 4.321 0.000 4.321 4.321 4.321 0.000" Properties=species:S:1:pos:R:3 pbc="T T T"
Sr 2.160 2.160 2.160
Sr 6.481 6.481 6.481
La 0.000 0.000 0.000
Sb 4.321 4.321 4.321
O 4.321 4.321 2.322
O 4.321 2.322 4.321
O 6.319 4.321 4.321
O 2.322 4.321 4.321
O 4.321 6.319 4.321
O 4.321 4.321 6.319
```

Peak list (8 most intense, 5 to 70 degrees two-theta, sorted by position)
| 2theta | I_rel |
| --- | --- |
| 20.56 | 10 |
| 29.23 | 100 |
| 41.81 | 32 |
| 47.03 | 4 |
| 51.83 | 40 |
| 60.62 | 20 |
| 64.72 | 2 |
| 68.70 | 18 |

For Sr2LaSbO6, DFT lattice parameters and positions (GGA-PBE) gives the computed PXRD pattern in this record (copper Kα).

```
40
Lattice="8.540 0.000 0.000 0.000 8.540 0.000 0.000 0.000 8.540" Properties=species:S:1:pos:R:3 pbc="T T T"
Sr 2.135 2.135 2.135
Sr 2.135 2.135 6.405
Sr 2.135 6.405 2.135
Sr 2.135 6.405 6.405
Sr 6.405 2.135 2.135
Sr 6.405 2.135 6.405
Sr 6.405 6.405 2.135
Sr 6.405 6.405 6.405
La 0.000 0.000 0.000
La 0.000 4.270 4.270
La 4.270 0.000 4.270
La 4.270 4.270 0.000
Sb 0.000 0.000 4.270
Sb 0.000 4.270 0.000
Sb 4.270 0.000 0.000
Sb 4.270 4.270 4.270
O 0.304 4.637 6.578
O 0.304 8.173 6.232
O 0.367 1.962 4.574
O 0.367 2.308 8.236
O 1.962 4.574 0.367
O 1.962 8.236 3.903
O 2.308 4.574 3.903
O 2.308 8.236 0.367
O 3.903 1.962 8.236
O 3.903 2.308 4.574
O 3.966 4.637 6.232
O 3.966 8.173 6.578
O 4.574 0.367 1.962
O 4.574 3.903 2.308
O 4.637 6.232 3.966
O 4.637 6.578 0.304
O 6.232 0.304 8.173
O 6.232 3.966 4.637
O 6.578 0.304 4.637
O 6.578 3.966 8.173
O 8.173 6.232 0.304
O 8.173 6.578 3.966
O 8.236 0.367 2.308
O 8.236 3.903 1.962
```

Peak list (10 most intense, 5 to 70 degrees two-theta, sorted by position)
| 2theta | I_rel |
| --- | --- |
| 20.80 | 9 |
| 29.59 | 100 |
| 33.17 | 1 |
| 39.48 | 1 |
| 42.33 | 28 |
| 47.62 | 4 |
| 52.49 | 45 |
| 61.42 | 17 |
| 65.59 | 1 |
| 69.63 | 18 |

For LaZnSbO, DFT lattice parameters and positions (GGA-PBE) gives the computed PXRD pattern in this record (copper Kα).

```
8
Lattice="4.246 0.000 0.000 0.000 4.246 0.000 0.000 0.000 9.666" Properties=species:S:1:pos:R:3 pbc="T T T"
La 1.062 1.062 1.153
La 3.185 3.185 8.513
Zn 1.062 3.185 4.833
Zn 3.185 1.062 4.833
Sb 1.062 1.062 6.574
Sb 3.185 3.185 3.092
O 1.062 3.185 0.000
O 3.185 1.062 0.000
```

Peak list (12 most intense, 5 to 70 degrees two-theta, sorted by position)
| 2theta | I_rel |
| --- | --- |
| 27.97 | 100 |
| 29.75 | 23 |
| 31.19 | 15 |
| 34.96 | 20 |
| 35.19 | 25 |
| 42.58 | 36 |
| 47.00 | 8 |
| 48.35 | 25 |
| 51.72 | 36 |
| 56.23 | 10 |
| 61.80 | 11 |
| 65.27 | 12 |

For LaScO3, DFT lattice parameters and positions (GGA-PBE) gives the computed PXRD pattern in this record (copper Kα).

```
20
Lattice="5.837 0.000 0.000 0.000 8.155 0.000 0.000 0.000 5.706" Properties=species:S:1:pos:R:3 pbc="T T T"
La 0.262 2.039 0.068
La 2.656 6.116 2.920
La 3.181 2.039 2.785
La 5.574 6.116 5.638
Sc 0.000 0.000 2.853
Sc 0.000 4.078 2.853
Sc 2.918 0.000 0.000
Sc 2.918 4.078 0.000
O 0.204 6.116 2.269
O 1.187 4.522 4.544
O 1.187 7.710 4.544
O 1.731 0.445 1.691
O 1.731 3.633 1.691
O 2.715 2.039 5.122
O 3.122 6.116 0.583
O 4.106 4.522 4.014
O 4.106 7.710 4.014
O 4.650 0.445 1.161
O 4.650 3.633 1.161
O 5.633 2.039 3.436
```

Peak list (12 most intense, 5 to 70 degrees two-theta, sorted by position)
| 2theta | I_rel |
| --- | --- |
| 21.79 | 40 |
| 30.63 | 22 |
| 31.01 | 100 |
| 31.36 | 23 |
| 37.91 | 13 |
| 38.51 | 15 |
| 44.42 | 39 |
| 50.83 | 12 |
| 54.69 | 13 |
| 55.39 | 12 |
| 55.60 | 24 |
| 64.63 | 12 |

For La2Sc2O5, DFT lattice parameters and positions (GGA-PBE) gives the computed PXRD pattern in this record (copper Kα).

```
18
Lattice="-8.072 2.902 2.875 8.072 -2.902 2.875 8.072 2.902 -2.875" Properties=species:S:1:pos:R:3 pbc="T T T"
La 2.036 0.002 0.000
La 6.036 0.002 0.000
La 2.036 2.900 2.875
La 6.036 2.900 2.875
Sc 4.036 2.828 -0.121
Sc 0.000 0.000 2.830
Sc 4.036 0.073 2.754
Sc 8.072 0.000 2.830
O 2.033 2.365 -0.202
O 6.039 2.365 -0.202
O 12.108 1.232 1.068
O -0.503 1.492 1.417
O 8.574 1.492 1.417
O 2.033 0.537 2.673
O 6.039 0.537 2.673
O -4.036 1.670 3.943
O 0.503 4.311 1.417
O -0.503 1.410 4.292
```

Peak list (12 most intense, 5 to 70 degrees two-theta, sorted by position)
| 2theta | I_rel |
| --- | --- |
| 21.76 | 21 |
| 22.02 | 13 |
| 30.82 | 19 |
| 31.14 | 100 |
| 38.20 | 11 |
| 38.44 | 13 |
| 44.35 | 22 |
| 44.92 | 11 |
| 55.01 | 19 |
| 55.41 | 24 |
| 55.64 | 9 |
| 64.97 | 12 |

For LaScO3, DFT lattice parameters and positions (GGA-PBE) gives the computed PXRD pattern in this record (copper Kα).

```
5
Lattice="4.079 0.000 0.000 0.000 4.079 0.000 0.000 0.000 4.079" Properties=species:S:1:pos:R:3 pbc="T T T"
La 0.000 0.000 0.000
Sc 2.039 2.039 2.039
O 0.000 2.039 2.039
O 2.039 0.000 2.039
O 2.039 2.039 0.000
```

Peak list (8 most intense, 5 to 70 degrees two-theta, sorted by position)
| 2theta | I_rel |
| --- | --- |
| 21.79 | 23 |
| 31.01 | 100 |
| 38.22 | 28 |
| 44.42 | 35 |
| 50.00 | 12 |
| 55.16 | 39 |
| 64.63 | 21 |
| 69.08 | 6 |

For LaY3Sc4O12, DFT lattice parameters and positions (GGA-PBE) gives the computed PXRD pattern in this record (copper Kα).

```
20
Lattice="5.530 0.000 0.000 0.000 8.030 0.000 -0.002 0.000 5.790" Properties=species:S:1:pos:R:3 pbc="T T T"
La 0.000 0.000 0.000
Y 2.568 0.000 2.934
Y 2.770 4.015 2.244
Y 5.345 4.015 5.118
Sc 2.680 2.041 5.477
Sc 2.680 5.988 5.477
Sc 5.453 2.035 2.581
Sc 5.453 5.995 2.581
O 0.630 4.015 2.910
O 1.020 1.544 4.309
O 1.020 6.486 4.309
O 1.651 1.512 1.484
O 1.651 6.518 1.484
O 1.959 4.015 0.034
O 3.253 0.000 5.169
O 3.772 2.569 3.726
O 3.772 5.460 3.726
O 4.393 2.554 0.806
O 4.393 5.476 0.806
O 4.744 0.000 2.363
```

Peak list (12 most intense, 5 to 70 degrees two-theta, sorted by position)
| 2theta | I_rel |
| --- | --- |
| 22.19 | 23 |
| 24.87 | 17 |
| 30.89 | 20 |
| 31.58 | 100 |
| 32.38 | 21 |
| 45.17 | 15 |
| 45.36 | 21 |
| 46.82 | 11 |
| 51.42 | 16 |
| 55.72 | 10 |
| 56.66 | 12 |
| 57.25 | 24 |

For La2Se2O, DFT lattice parameters and positions (GGA-PBE) gives the computed PXRD pattern in this record (copper Kα).

```
20
Lattice="9.037 0.000 0.000 0.000 7.509 0.000 -1.282 0.000 7.384" Properties=species:S:1:pos:R:3 pbc="T T T"
La 0.251 1.114 2.399
La -0.389 2.641 6.092
La 2.916 4.149 1.810
La 2.275 7.115 5.502
La 5.481 0.394 1.883
La 4.840 3.360 5.575
La 8.145 4.868 1.293
La 7.504 6.395 4.985
Se 0.900 4.727 4.179
Se 1.541 6.537 0.487
Se 3.204 1.675 3.481
Se 2.563 2.080 7.173
Se 5.193 5.429 0.211
Se 4.552 5.835 3.903
Se 6.215 0.972 6.898
Se 6.855 2.782 3.205
O 0.204 0.628 4.791
O 0.845 3.126 1.099
O 6.911 4.383 6.286
O 7.552 6.881 2.593
```

Peak list (12 most intense, 5 to 70 degrees two-theta, sorted by position)
| 2theta | I_rel |
| --- | --- |
| 24.56 | 27 |
| 26.63 | 35 |
| 26.91 | 32 |
| 27.77 | 100 |
| 31.10 | 27 |
| 32.19 | 23 |
| 32.44 | 29 |
| 34.32 | 23 |
| 35.41 | 35 |
| 36.19 | 32 |
| 38.16 | 29 |
| 38.97 | 21 |

For La2Se2O, DFT lattice parameters and positions (GGA-PBE) gives the computed PXRD pattern in this record (copper Kα).

```
20
Lattice="16.709 0.000 0.000 0.000 4.179 0.000 0.000 0.000 7.386" Properties=species:S:1:pos:R:3 pbc="T T T"
La 0.641 1.045 1.474
La 2.749 1.045 5.602
La 5.606 3.134 1.909
La 7.714 3.134 5.167
La 8.995 1.045 2.219
La 11.103 1.045 5.477
La 13.960 3.134 1.784
La 16.068 3.134 5.912
Se 1.686 3.134 3.770
Se 2.948 3.134 0.364
Se 5.406 1.045 4.057
Se 6.668 1.045 0.077
Se 10.041 3.134 7.309
Se 11.303 3.134 3.329
Se 13.760 1.045 7.022
Se 15.022 1.045 3.616
O 0.535 1.045 6.439
O 7.819 3.134 2.747
O 8.890 1.045 4.639
O 16.174 3.134 0.946
```

Peak list (12 most intense, 5 to 70 degrees two-theta, sorted by position)
| 2theta | I_rel |
| --- | --- |
| 24.48 | 48 |
| 26.73 | 73 |
| 29.33 | 48 |
| 32.65 | 26 |
| 34.13 | 100 |
| 36.90 | 14 |
| 40.81 | 16 |
| 42.63 | 20 |
| 43.31 | 32 |
| 48.74 | 20 |
| 50.37 | 13 |
| 58.18 | 23 |

For La2Se3O24, DFT lattice parameters and positions (GGA-PBE) gives the computed PXRD pattern in this record (copper Kα).

```
58
Lattice="5.465 -9.885 0.000 5.465 9.885 0.000 -5.254 0.000 9.530" Properties=species:S:1:pos:R:3 pbc="T T T"
La 1.199 1.394 0.987
La -1.428 -1.394 5.752
La 7.105 1.394 3.777
La 4.478 -1.394 8.542
Se 4.152 8.459 2.382
Se -0.188 2.095 4.581
Se -2.815 -2.095 9.346
Se 8.491 2.095 0.183
Se 5.864 -2.095 4.948
Se 1.525 -8.459 7.147
O -1.438 4.653 7.400
O -3.154 2.311 8.312
O -2.908 0.441 6.236
O -1.249 5.229 8.528
O 2.028 7.381 5.050
O -0.281 -0.441 1.471
O 0.454 2.192 3.028
O -0.762 4.540 9.504
O 0.653 3.104 5.587
O 1.021 7.381 9.244
O -0.077 0.476 5.051
O 1.525 5.116 7.147
O -0.527 -2.311 3.548
O 2.550 -0.476 0.286
O -2.173 -2.192 7.793
O 3.288 1.900 2.906
O 3.811 4.540 4.790
O 3.157 0.642 2.910
O 1.525 1.812 7.147
O 4.298 5.229 5.766
O 5.016 1.900 1.859
O 0.530 -0.642 7.675
O 1.189 -4.653 2.635
O 3.280 -3.104 0.822
O 2.396 3.104 8.707
O 4.488 4.653 6.894
O 5.146 0.642 1.854
O 0.661 -1.900 7.670
O 1.378 -5.229 3.764
O 4.152 -1.812 2.382
O 2.519 -0.642 6.619
O 1.865 -4.540 4.740
O 2.389 -1.900 6.624
O 7.849 2.192 1.737
O 3.126 0.476 9.243
O 6.203 2.311 5.982
O 4.152 -5.116 2.382
O 5.753 -0.476 4.478
O 4.655 -7.381 0.286
O 5.023 -3.104 3.943
O 6.438 -4.540 0.025
O 5.222 -2.192 6.502
O 5.957 0.441 8.059
O 3.648 -7.381 4.479
O 6.925 -5.229 1.001
O 8.584 -0.441 3.294
O 8.830 -2.311 1.217
O 7.115 -4.653 2.129
```

Peak list (12 most intense, 5 to 70 degrees two-theta, sorted by position)
| 2theta | I_rel |
| --- | --- |
| 8.95 | 80 |
| 10.27 | 100 |
| 16.90 | 25 |
| 18.56 | 36 |
| 24.30 | 36 |
| 24.43 | 15 |
| 25.34 | 19 |
| 27.06 | 26 |
| 28.31 | 42 |
| 28.41 | 32 |
| 32.28 | 16 |
| 33.55 | 27 |